KRbH: calculated powder diffractogram (λ = 1.5418 Å (Cu Kα)), based on a cell relaxed with GGA-PBE.
Kinematic intensities with the Lorentz-polarization factor, no thermal factor.

Crystal structure
Cell: 4.326 4.328 15.059 Å, 97.95 90.12 119.95°
Space group P1 (No. 1)
Symmetry-distinct sites (fractional):
1 K 0.000 0.000 0.000 (multiplicity 1)
2 K 0.484 0.002 0.500 (multiplicity 1)
3 Rb 0.225 0.480 0.724 (multiplicity 1)
4 Rb 0.744 0.525 0.276 (multiplicity 1)
5 H 0.116 0.268 0.394 (multiplicity 1)
6 H 0.852 0.737 0.606 (multiplicity 1)

Top 10 peaks for 15 to 90 degrees two-theta, by angle:
Position (°2θ), I_rel, h k l
24.0, 33, 0 0 4
25.1, 100, 0 1 -2
28.7, 45, 1 0 -3
28.8, 23, 1 -1 3
40.3, 11, 1 0 5
41.7, 26, 1 1 -1
48.6, 11, -2 1 4
48.8, 14, 1 -2 5
49.3, 10, 2 0 -2
66.5, 10, 1 -3 3